Starting from a DFT-relaxed cell (GGA-PBE, the Materials Project), the powder diffraction line list of Li2PmAl was calculated for copper Kα.

Peak list (10 most intense, 2θ from 15° to 90°, in order of rising 2θ)
| two_theta | intensity |
| --- | --- |
| 22.55 | 100 |
| 26.09 | 100 |
| 37.23 | 99 |
| 43.97 | 53 |
| 46.03 | 28 |
| 53.68 | 17 |
| 58.94 | 22 |
| 60.63 | 37 |
| 67.14 | 35 |
| 85.25 | 18 |

Structural model:
```
Li2PmAl
1.0
6.830 0.000 0.000
0.000 6.830 0.000
0.000 0.000 6.830
Li Pm Al
8 4 4
Cartesian
1.708 1.708 1.708 Li
1.708 1.708 5.123 Li
1.708 5.123 1.708 Li
1.708 5.123 5.123 Li
5.123 1.708 1.708 Li
5.123 1.708 5.123 Li
5.123 5.123 1.708 Li
5.123 5.123 5.123 Li
0.000 0.000 0.000 Pm
0.000 3.415 3.415 Pm
3.415 0.000 3.415 Pm
3.415 3.415 0.000 Pm
0.000 0.000 3.415 Al
0.000 3.415 0.000 Al
3.415 0.000 0.000 Al
3.415 3.415 3.415 Al
```